Diffraction record for PmHoEr5Tm2. The PXRD pattern is theoretical, not measured: it uses a DFT-relaxed cell (PBE, Alexandria) and Cu Kα X-rays.
Neutral-atom scattering factors, no anomalous dispersion.

a = 5.5474 Å, b = 19.6348 Å, c = 10.4701 Å
α = 90.00°, β = 90.00°, γ = 90.00°
Space group Cmc2_1 (No. 36)
One atom of each set of equivalent atoms:
Pm  0.0000  0.0843  0.0000 [4 per cell]
Ho  0.0000  0.3004  0.5608 [4 per cell]
Er  0.0000  0.0216  0.2851 [4 per cell]
Er  0.0000  0.1117  0.5713 [4 per cell]
Er  0.0000  0.2011  0.2582 [4 per cell]
Er  0.0000  0.2189  0.8604 [4 per cell]
Er  0.0000  0.4821  0.5732 [4 per cell]
Tm  0.0000  0.3869  0.8667 [4 per cell]
Tm  0.0000  0.3895  0.2847 [4 per cell]

Most intense lines, 10° ≤ 2θ ≤ 80°, by angle:
- hkl 0 6 1, 28.6°, intensity 19
- hkl 1 1 3, 30.6°, intensity 40
- hkl 2 0 0, 32.3°, intensity 43
- hkl 1 5 2, 32.8°, intensity 100
- hkl 0 0 4, 34.3°, intensity 12
- hkl 2 6 1, 43.6°, intensity 12
- hkl 0 6 5, 51.8°, intensity 12
- hkl 3 5 2, 57.9°, intensity 21
- hkl 1 11 3, 60.6°, intensity 14
- hkl 2 6 5, 62.4°, intensity 13